Diffraction record for NbVCr4. The XRD peak list is theoretical, not measured: it uses a DFT-relaxed cell (PBE, Alexandria) and Cu Kα X-rays.
Kinematic intensities with the Lorentz-polarization factor, no thermal factor.

Principal peaks in the range 2θ from 5° to 70°, low angle first:
hkl, 2theta, Rel. int.
1 1 1, 22.5, 4.5
2 0 0, 26.1, 4.9
2 2 0, 37.2, 38.6
3 1 1, 43.9, 100.0
2 2 2, 46.0, 30.4
4 0 0, 53.6, 1.2
3 3 1, 58.9, 1.1
4 2 0, 60.5, 1.9
4 2 2, 67.0, 12.5

Cell and atoms:
Lattice parameters (Å, degrees): 6.8388 6.8388 6.8388 90.00 90.00 90.00
Space group F-43m (No. 216)
Symmetry-distinct sites (fractional):
1 Nb 0.0000 0.0000 0.0000 x4
2 V 0.2500 0.2500 0.2500 x4
3 Cr 0.1248 0.1248 0.6248 x16


Diffraction record for Nb12CrW6. The XRD peak list is theoretical, not measured: it uses a DFT-relaxed cell (PBE, Alexandria) and Cu Kα X-rays.
Kinematic intensities with the Lorentz-polarization factor, no thermal factor.

Principal peaks in the range 2θ from 5° to 70°, low angle first:
hkl, 2theta, Rel. int.
1 0 1, 12.7, 17.8
1 1 0, 18.2, 16.9
2 -1 3, 28.2, 25.5
0 1 5, 37.7, 35.2
0 3 3, 38.6, 45.5
4 -3 1, 39.1, 100.0
3 -1 4, 40.5, 67.5
3 1 2, 41.2, 54.5
2 0 5, 42.1, 25.6
1 4 6, 68.0, 20.1

Cell and atoms:
Lattice parameters (Å, degrees): 9.7575 9.7575 12.4457 90.00 90.00 120.00
Space group R-3 (No. 148, hexagonal axes)
Symmetry-distinct sites (fractional):
1 Nb 0.0522 0.8664 0.3062 x18
2 Nb 0.0648 0.2317 0.9167 x18
3 Cr 0.0000 0.0000 0.5000 x3
4 W 0.0419 0.5917 0.2062 x18


Diffraction record for Nb3Cr8W. The XRD peak list is theoretical, not measured: it uses a DFT-relaxed cell (PBE, Alexandria) and Cu Kα X-rays.
Kinematic intensities with the Lorentz-polarization factor, no thermal factor.

Principal peaks in the range 2θ from 5° to 70°, low angle first:
hkl, 2theta, Rel. int.
0 0 1, 11.0, 11.2
1 0 0, 21.0, 11.5
0 1 1, 23.8, 13.1
0 1 2, 30.7, 14.5
1 1 0, 36.8, 55.3
0 1 3, 39.9, 86.0
2 0 0, 42.8, 14.5
1 1 2, 43.4, 100.0
2 0 1, 44.3, 54.2
1 2 3, 68.4, 31.5

Cell and atoms:
Lattice parameters (Å, degrees): 4.8807 4.8807 8.0336 90.00 90.00 120.00
Space group P3m1 (No. 156)
Symmetry-distinct sites (fractional):
1 Nb 0.0000 0.0000 0.0000 x1
2 Nb 0.0000 0.0000 0.3842 x1
3 Nb 0.3333 0.6667 0.8784 x1
4 Cr 0.0067 0.5034 0.1920 x3
5 Cr 0.3273 0.1636 0.6886 x3
6 Cr 0.6667 0.3333 0.4413 x1
7 Cr 0.6667 0.3333 0.9397 x1
8 W 0.3333 0.6667 0.4970 x1